[1]
Starting from a crystal structure in OQMD, relaxed with GGA-PBE, the powder X-ray diffraction pattern of PmSi2Ni2 was simulated for Cu Kα X-rays.

Crystal structure
Cell: 5.4469 9.8383 12.0621 Å, 90.00 90.00 90.00°
Space group Fddd (No. 70, origin choice 2)
Inequivalent atoms, fractional coordinates:
Pm: 0.1250 0.1250 0.1250 (multiplicity 8)
Si: 0.1250 0.3172 0.6250 (multiplicity 16)
Ni: 0.1250 0.1250 0.5174 (multiplicity 16)

Top 10 peaks for 5 to 70 degrees two-theta, by intensity:
hkl	two_theta	I (rel.)
1 1 3	29.06	100
2 0 2	36.19	89
0 2 2	23.34	87
1 3 3	39.11	86
2 2 0	37.76	81
1 1 5	41.98	70
1 3 5	49.82	68
0 4 0	36.53	65
2 4 2	52.37	38
1 5 5	63.33	27



[2]
Starting from a crystal structure in OQMD, relaxed with GGA-PBE, the powder X-ray diffraction pattern of HoErAs was simulated for Cu Kα X-rays.

Crystal structure
Cell: 6.7518 6.7518 6.7518 Å, 90.00 90.00 90.00°
Space group F-43m (No. 216)
Inequivalent atoms, fractional coordinates:
Ho: 0.0000 0.0000 0.0000 (multiplicity 4)
Er: 0.0000 0.0000 0.5000 (multiplicity 4)
As: 0.2500 0.2500 0.7500 (multiplicity 4)

Top 9 peaks for 5 to 70 degrees two-theta, by intensity:
hkl	two_theta	I (rel.)
2 2 0	37.68	100
2 0 0	26.40	48
4 2 2	68.02	35
4 2 0	61.41	19
4 0 0	54.35	17
2 2 2	46.60	14
1 1 1	22.81	9
3 1 1	44.51	5
3 3 1	59.70	2